The following is a simulated X-ray powder pattern of Na4La2Si2SO12. It was derived from the PBE geometry in the Materials Project, using Cu Kα (λ = 1.5418 Å).
Peak positions follow from Bragg's law for the DFT cell and can differ from measured ones.

Structure:
Cell: 9.7442 9.7442 9.7206 Å, 119.24 119.24 60.63°
Fractional positions:
Na 0.0488 0.9512 0.5000
Na 0.1557 0.4111 0.6263
Na 0.2922 0.8395 0.8993
Na 0.4111 0.1557 0.1263
Na 0.5654 0.7245 0.2791
Na 0.7245 0.5654 0.7791
Na 0.8395 0.2922 0.3993
Na 0.9512 0.0488 0.0000
La 0.1399 0.6620 0.0297
La 0.4602 0.9588 0.7272
La 0.6620 0.1399 0.5297
La 0.9588 0.4602 0.2272
Si 0.0571 0.2461 0.8206
Si 0.2461 0.0571 0.3206
Si 0.7396 0.8671 0.1309
Si 0.8671 0.7396 0.6309
S 0.3674 0.5571 0.4417
S 0.5571 0.3674 0.9417
O 0.0158 0.2785 0.9817
O 0.0463 0.7181 0.7867
O 0.0660 0.2115 0.2960
O 0.1062 0.4035 0.8570
O 0.2115 0.0660 0.7960
O 0.2234 0.5157 0.4090
O 0.2392 0.8926 0.1472
O 0.2785 0.0158 0.4817
O 0.3409 0.5927 0.2972
O 0.3787 0.7040 0.5965
O 0.4035 0.1062 0.3570
O 0.4156 0.5256 0.9681
O 0.5157 0.2234 0.9090
O 0.5256 0.4156 0.4681
O 0.5657 0.8850 0.9692
O 0.5927 0.3409 0.7972
O 0.7040 0.3787 0.0965
O 0.7081 0.7717 0.6750
O 0.7181 0.0463 0.2867
O 0.7717 0.7081 0.1750
O 0.8308 0.9037 0.5928
O 0.8850 0.5657 0.4692
O 0.8926 0.2392 0.6472
O 0.9037 0.8308 0.0928

Main lines, low angle first (2θ from 5° to 70°):
2θ = 12.79°, intensity 18
2θ = 18.03°, intensity 60
2θ = 18.23°, intensity 61
2θ = 25.74°, intensity 23
2θ = 28.97°, intensity 100
2θ = 31.50°, intensity 68
2θ = 31.63°, intensity 15
2θ = 43.29°, intensity 26
2θ = 48.98°, intensity 23
2θ = 54.52°, intensity 14